This entry pairs a crystal structure of Ta2Zn2NiO8 with its computed powder diffractogram. Radiation: Cu Kα, 1.54184 Å. Structure: DFT lattice parameters and positions (GGA+U).

Cell and atoms:
Lattice parameters (Å, degrees): 5.274 5.916 10.059 72.95 89.75 90.00
Element x y z (fractional)
Ta 0.233 0.045 0.227
Ta 0.266 0.270 0.773
Ta 0.734 0.730 0.227
Ta 0.767 0.955 0.773
Zn 0.230 0.436 0.436
Zn 0.270 0.872 0.564
Zn 0.730 0.128 0.436
Zn 0.770 0.564 0.564
Ni 0.250 0.639 0.000
Ni 0.750 0.361 0.000
O 0.068 0.074 0.647
O 0.072 0.815 0.136
O 0.086 0.320 0.115
O 0.142 0.543 0.614
O 0.359 0.159 0.386
O 0.414 0.434 0.885
O 0.429 0.951 0.864
O 0.433 0.722 0.353
O 0.567 0.278 0.647
O 0.571 0.049 0.136
O 0.586 0.566 0.115
O 0.641 0.841 0.614
O 0.858 0.457 0.386
O 0.914 0.680 0.885
O 0.928 0.185 0.864
O 0.932 0.926 0.353

Top 8 peaks for 2θ from 10° to 80°, in order of falling intensity:
d [Å]  2θ/deg  intensity
2.756  32.49  100
2.580  34.78  93
2.747  32.60  76
3.225  27.66  73
3.857  23.06  63
2.637  34.00  60
3.352  26.59  44
1.756  52.08  43

---

This entry pairs a crystal structure of TaZn2NiO6 with its computed powder diffractogram. Radiation: Cu Kα, 1.54184 Å. Structure: DFT lattice parameters and positions (GGA+U).

Cell and atoms:
Lattice parameters (Å, degrees): 5.199 7.576 5.383 90.00 93.74 90.00
Element x y z (fractional)
Ta 0.000 0.000 0.000
Ta 0.000 0.500 0.000
Zn 0.012 0.250 0.531
Zn 0.495 0.250 0.053
Zn 0.505 0.750 0.947
Zn 0.988 0.750 0.469
Ni 0.500 0.000 0.500
Ni 0.500 0.500 0.500
O 0.129 0.750 0.049
O 0.180 0.063 0.323
O 0.180 0.437 0.323
O 0.308 0.069 0.824
O 0.308 0.431 0.824
O 0.373 0.750 0.574
O 0.627 0.250 0.426
O 0.692 0.569 0.176
O 0.692 0.931 0.176
O 0.820 0.563 0.677
O 0.820 0.937 0.677
O 0.871 0.250 0.951

Top 8 peaks for 2θ from 10° to 80°, in order of falling intensity:
d [Å]  2θ/deg  intensity
2.703  33.14  100
2.616  34.29  88
2.686  33.36  48
2.594  34.58  41
5.372  16.50  26
5.188  17.09  25
1.534  60.32  24
1.894  48.04  24

---

This entry pairs a crystal structure of TbNiO3 with its computed powder diffractogram. Radiation: Cu Kα, 1.54184 Å. Structure: DFT lattice parameters and positions (GGA+U).

Cell and atoms:
Lattice parameters (Å, degrees): 3.739 3.739 3.739 90.00 90.00 90.00
Element x y z (fractional)
Tb 0.000 0.000 0.000
Ni 0.500 0.500 0.500
O 0.000 0.500 0.500
O 0.500 0.000 0.500
O 0.500 0.500 0.000

Top 8 peaks for 2θ from 10° to 80°, in order of falling intensity:
d [Å]  2θ/deg  intensity
2.644  33.91  100
1.526  60.67  38
1.869  48.71  30
1.322  71.35  18
2.159  41.85  17
3.739  23.80  15
1.672  54.91  8
1.246  76.43  4

---

This entry pairs a crystal structure of TbNiO3 with its computed powder diffractogram. Radiation: Cu Kα, 1.54184 Å. Structure: DFT lattice parameters and positions (GGA+U).

Cell and atoms:
Lattice parameters (Å, degrees): 5.241 5.241 5.241 62.82 62.82 62.82
Element x y z (fractional)
Tb 0.250 0.250 0.250
Tb 0.750 0.750 0.750
Ni 0.000 0.000 0.000
Ni 0.500 0.500 0.500
O 0.164 0.750 0.336
O 0.250 0.664 0.836
O 0.336 0.164 0.750
O 0.664 0.836 0.250
O 0.750 0.336 0.164
O 0.836 0.250 0.664

Top 8 peaks for 2θ from 10° to 80°, in order of falling intensity:
d [Å]  2θ/deg  intensity
2.732  32.79  100
2.616  34.28  97
1.889  48.16  53
1.554  59.49  41
3.779  23.54  35
1.577  58.53  26
2.214  40.76  21
1.490  62.32  17

---

This entry pairs a crystal structure of TbNiO3 with its computed powder diffractogram. Radiation: Cu Kα, 1.54184 Å. Structure: DFT lattice parameters and positions (GGA+U).

Cell and atoms:
Lattice parameters (Å, degrees): 5.578 7.492 5.226 90.00 90.00 90.00
Element x y z (fractional)
Tb 0.074 0.250 0.020
Tb 0.426 0.750 0.520
Tb 0.574 0.250 0.480
Tb 0.926 0.750 0.980
Ni 0.000 0.000 0.500
Ni 0.000 0.500 0.500
Ni 0.500 0.000 0.000
Ni 0.500 0.500 0.000
O 0.029 0.750 0.400
O 0.200 0.551 0.806
O 0.200 0.949 0.806
O 0.300 0.051 0.306
O 0.300 0.449 0.306
O 0.471 0.250 0.900
O 0.529 0.750 0.100
O 0.700 0.551 0.694
O 0.700 0.949 0.694
O 0.800 0.051 0.194
O 0.800 0.449 0.194
O 0.971 0.250 0.600

Top 8 peaks for 2θ from 10° to 80°, in order of falling intensity:
d [Å]  2θ/deg  intensity
2.672  33.53  100
2.613  34.31  43
3.399  26.22  25
1.520  60.96  21
1.706  53.73  19
2.789  32.09  17
1.907  47.69  17
1.873  48.61  15

---

This entry pairs a crystal structure of ZnTcNiO4 with its computed powder diffractogram. Radiation: Cu Kα, 1.54184 Å. Structure: DFT lattice parameters and positions (GGA+U).

Cell and atoms:
Lattice parameters (Å, degrees): 6.087 6.098 10.129 85.88 73.17 60.94
Element x y z (fractional)
Zn 0.000 0.000 0.000
Zn 0.000 0.499 0.500
Zn 0.888 0.044 0.682
Zn 0.889 0.543 0.182
Tc 0.510 0.497 0.978
Tc 0.511 0.213 0.260
Tc 0.511 0.714 0.761
Tc 0.511 0.996 0.478
Ni 0.147 0.388 0.795
Ni 0.148 0.887 0.296
Ni 0.514 0.990 0.997
Ni 0.515 0.490 0.497
O 0.250 0.106 0.368
O 0.250 0.606 0.869
O 0.290 0.057 0.865
O 0.292 0.556 0.365
O 0.292 0.824 0.096
O 0.293 0.345 0.116
O 0.293 0.845 0.616
O 0.294 0.323 0.596
O 0.734 0.355 0.119
O 0.735 0.855 0.619
O 0.736 0.145 0.885
O 0.737 0.398 0.630
O 0.737 0.644 0.384
O 0.737 0.898 0.130
O 0.757 0.127 0.377
O 0.757 0.627 0.878

Top 8 peaks for 2θ from 10° to 80°, in order of falling intensity:
d [Å]  2θ/deg  intensity
2.482  36.19  100
3.040  29.38  99
2.562  35.02  88
2.587  34.68  80
2.497  35.97  79
1.519  61.00  77
2.658  33.73  74
4.996  17.75  74